The following is a computed powder diffractogram of NdCo5P3. It was derived from a DFT-relaxed cell (GGA-PBE, the Materials Project), using Cu Kα X-rays.
Intensities are scaled so that the largest is 100.

a = 11.829 Å, b = 3.699 Å, c = 10.367 Å
α = 90.00°, β = 90.00°, γ = 90.00°
Fractional positions:
Nd: 0.203 0.250 0.083
Nd: 0.297 0.750 0.583
Nd: 0.703 0.250 0.417
Nd: 0.797 0.750 0.917
Co: 0.011 0.750 0.094
Co: 0.011 0.750 0.714
Co: 0.067 0.750 0.467
Co: 0.175 0.250 0.780
Co: 0.197 0.250 0.382
Co: 0.303 0.750 0.882
Co: 0.325 0.750 0.280
Co: 0.433 0.250 0.967
Co: 0.489 0.250 0.214
Co: 0.489 0.250 0.594
Co: 0.511 0.750 0.406
Co: 0.511 0.750 0.786
Co: 0.567 0.750 0.033
Co: 0.675 0.250 0.720
Co: 0.697 0.250 0.118
Co: 0.803 0.750 0.618
Co: 0.825 0.750 0.220
Co: 0.933 0.250 0.533
Co: 0.989 0.250 0.286
Co: 0.989 0.250 0.906
P: 0.107 0.750 0.896
P: 0.110 0.250 0.581
P: 0.130 0.750 0.274
P: 0.370 0.250 0.774
P: 0.390 0.750 0.081
P: 0.393 0.250 0.396
P: 0.607 0.750 0.604
P: 0.610 0.250 0.919
P: 0.630 0.750 0.226
P: 0.870 0.250 0.726
P: 0.890 0.750 0.419
P: 0.893 0.250 0.104

Most intense lines, 2θ = 10–90°, most intense first:
d (Å)  Rel. int.
2.322  100
2.309  68
1.849  34
2.529  23
1.712  21
2.393  17
1.256  17
3.342  16


The following is a computed powder diffractogram of NdCo4P12. It was derived from a DFT-relaxed cell (GGA-PBE, the Materials Project), using Cu Kα X-rays.
Intensities are scaled so that the largest is 100.

a = 6.773 Å, b = 6.773 Å, c = 6.773 Å
α = 109.47°, β = 109.47°, γ = 109.47°
Fractional positions:
Nd: 0.000 0.000 0.000
Co: 0.000 0.000 0.500
Co: 0.000 0.500 0.000
Co: 0.500 0.000 0.000
Co: 0.500 0.500 0.500
P: 0.147 0.353 0.500
P: 0.147 0.647 0.794
P: 0.206 0.853 0.353
P: 0.353 0.206 0.853
P: 0.353 0.500 0.147
P: 0.500 0.147 0.353
P: 0.500 0.853 0.647
P: 0.647 0.500 0.853
P: 0.647 0.794 0.147
P: 0.794 0.147 0.647
P: 0.853 0.353 0.206
P: 0.853 0.647 0.500

Most intense lines, 2θ = 10–90°, most intense first:
d (Å)  Rel. int.
2.473  100
2.765  96
2.090  72
1.596  64
1.534  46
5.530  42
3.193  24
1.237  23


The following is a computed powder diffractogram of PrNdCo10. It was derived from a DFT-relaxed cell (GGA-PBE, the Materials Project), using Cu Kα X-rays.
Intensities are scaled so that the largest is 100.

a = 3.983 Å, b = 5.023 Å, c = 8.715 Å
α = 90.00°, β = 90.00°, γ = 90.00°
Fractional positions:
Pr: 0.000 0.000 0.000
Nd: 0.000 0.500 0.500
Co: 0.000 0.000 0.334
Co: 0.000 0.000 0.666
Co: 0.000 0.500 0.167
Co: 0.000 0.500 0.833
Co: 0.500 0.000 0.500
Co: 0.500 0.250 0.250
Co: 0.500 0.250 0.750
Co: 0.500 0.500 0.000
Co: 0.500 0.750 0.250
Co: 0.500 0.750 0.750

Most intense lines, 2θ = 10–90°, most intense first:
d (Å)  Rel. int.
2.126  100
2.939  48
2.177  35
2.514  32
1.991  26
1.364  22
1.469  19
1.174  15


The following is a computed powder diffractogram of Nd4CoS7. It was derived from a DFT-relaxed cell (GGA-PBE, the Materials Project), using Cu Kα X-rays.
Intensities are scaled so that the largest is 100.

a = 9.850 Å, b = 9.850 Å, c = 6.751 Å
α = 90.00°, β = 90.00°, γ = 120.00°
Fractional positions:
Nd: 0.144 0.772 0.000
Nd: 0.228 0.373 0.000
Nd: 0.333 0.667 0.542
Nd: 0.373 0.144 0.500
Nd: 0.627 0.856 0.000
Nd: 0.667 0.333 0.042
Nd: 0.772 0.627 0.500
Nd: 0.856 0.228 0.500
Co: 0.000 0.000 0.197
Co: 0.000 0.000 0.697
S: 0.070 0.507 0.755
S: 0.093 0.863 0.413
S: 0.137 0.230 0.413
S: 0.230 0.093 0.913
S: 0.333 0.667 0.151
S: 0.436 0.930 0.755
S: 0.493 0.564 0.755
S: 0.507 0.436 0.255
S: 0.564 0.070 0.255
S: 0.667 0.333 0.651
S: 0.770 0.907 0.413
S: 0.863 0.770 0.913
S: 0.907 0.137 0.913
S: 0.930 0.493 0.255

Most intense lines, 2θ = 10–90°, most intense first:
d (Å)  Rel. int.
3.606  100
2.647  43
1.990  42
2.463  37
3.376  19
2.621  17
3.979  16
2.233  15


The following is a computed powder diffractogram of NdCoSb3. It was derived from a DFT-relaxed cell (GGA-PBE, the Materials Project), using Cu Kα X-rays.
Intensities are scaled so that the largest is 100.

a = 12.757 Å, b = 6.203 Å, c = 12.148 Å
α = 90.00°, β = 90.00°, γ = 90.00°
Fractional positions:
Nd: 0.197 0.222 0.250
Nd: 0.197 0.278 0.750
Nd: 0.200 0.750 0.000
Nd: 0.200 0.750 0.500
Nd: 0.800 0.250 0.000
Nd: 0.800 0.250 0.500
Nd: 0.803 0.722 0.250
Nd: 0.803 0.778 0.750
Co: 0.402 0.038 0.636
Co: 0.402 0.038 0.864
Co: 0.402 0.462 0.136
Co: 0.402 0.462 0.364
Co: 0.598 0.538 0.636
Co: 0.598 0.538 0.864
Co: 0.598 0.962 0.136
Co: 0.598 0.962 0.364
Sb: 0.003 0.015 0.624
Sb: 0.003 0.015 0.876
Sb: 0.003 0.485 0.124
Sb: 0.003 0.485 0.376
Sb: 0.281 0.250 0.000
Sb: 0.281 0.250 0.500
Sb: 0.286 0.731 0.250
Sb: 0.286 0.769 0.750
Sb: 0.445 0.114 0.250
Sb: 0.445 0.386 0.750
Sb: 0.472 0.750 0.000
Sb: 0.472 0.750 0.500
Sb: 0.528 0.250 0.000
Sb: 0.528 0.250 0.500
Sb: 0.555 0.614 0.250
Sb: 0.555 0.886 0.750
Sb: 0.714 0.231 0.250
Sb: 0.714 0.269 0.750
Sb: 0.719 0.750 0.000
Sb: 0.719 0.750 0.500
Sb: 0.997 0.515 0.624
Sb: 0.997 0.515 0.876
Sb: 0.997 0.985 0.124
Sb: 0.997 0.985 0.376

Most intense lines, 2θ = 10–90°, most intense first:
d (Å)  Rel. int.
2.570  100
2.170  76
2.789  63
2.742  44
2.471  34
3.189  30
3.037  29
2.506  26


The following is a computed powder diffractogram of Nd5CoSi2. It was derived from a DFT-relaxed cell (GGA-PBE, the Materials Project), using Cu Kα X-rays.
Intensities are scaled so that the largest is 100.

a = 8.827 Å, b = 8.789 Å, c = 7.864 Å
α = 63.74°, β = 63.24°, γ = 53.03°
Fractional positions:
Nd: 0.000 0.000 0.500
Nd: 0.035 0.676 0.324
Nd: 0.194 0.523 0.806
Nd: 0.324 0.965 0.035
Nd: 0.477 0.806 0.523
Nd: 0.500 0.500 0.000
Nd: 0.523 0.194 0.477
Nd: 0.676 0.035 0.965
Nd: 0.806 0.477 0.194
Nd: 0.965 0.324 0.676
Co: 0.384 0.616 0.384
Co: 0.616 0.384 0.616
Si: 0.115 0.885 0.885
Si: 0.250 0.250 0.250
Si: 0.750 0.750 0.750
Si: 0.885 0.115 0.115

Most intense lines, 2θ = 10–90°, most intense first:
d (Å)  Rel. int.
2.792  100
2.776  79
2.578  76
3.414  71
2.479  44
2.495  28
1.764  27
2.910  27